Diffraction record for Li4Ti2V3Co3O16. The X-ray powder pattern is calculated, not measured: it uses a GGA+U-relaxed structure and Cu Kα, 1.54184 Å.
No peak broadening, texture or thermal motion is included.

Principal peaks in the range 10° ≤ 2θ ≤ 90°, sorted by position:
index	2θ (°)	d_spacing	I_rel
0 0 2	18.7	4.741	80
1 0 -1	19.9	4.457	100
1 1 2	25.8	3.458	28
0 1 3	33.4	2.681	26
2 1 2	36.2	2.485	39
2 2 -1	36.8	2.440	59
2 0 2	40.4	2.230	31
2 0 3	46.0	1.974	44
2 2 5	61.0	1.518	24
2 4 0	63.9	1.458	41

Structure:
Lattice parameters (Å, degrees): 5.8290 5.8294 9.4825 89.92 89.78 60.06
Space group P1 (No. 1)
One atom of each set of equivalent atoms:
Li (0.0000, 0.0000, 0.0000) x1
Li (0.0052, 0.9973, 0.5022) x1
Li (0.3235, 0.3349, 0.4110) x1
Li (0.6674, 0.6656, 0.8960) x1
Ti (0.3026, 0.3470, 0.0012) x1
Ti (0.6662, 0.6675, 0.5109) x1
V (0.6524, 0.1735, 0.7309) x1
V (0.8008, 0.3539, 0.2254) x1
V (0.8090, 0.8378, 0.2276) x1
Co (0.1705, 0.1702, 0.7196) x1
Co (0.1708, 0.6572, 0.7197) x1
Co (0.3365, 0.8289, 0.2162) x1
O (0.0029, 0.9974, 0.8100) x1
O (0.0416, 0.4779, 0.8379) x1
O (0.1428, 0.1879, 0.0987) x1
O (0.1465, 0.6682, 0.0983) x1
O (0.3318, 0.3335, 0.6163) x1
O (0.3348, 0.8315, 0.6052) x1
O (0.4759, 0.0391, 0.8428) x1
O (0.4761, 0.4833, 0.8426) x1
O (0.5312, 0.4994, 0.3541) x1
O (0.5307, 0.9610, 0.3553) x1
O (0.6535, 0.1717, 0.1028) x1
O (0.6813, 0.6613, 0.1044) x1
O (0.8348, 0.3310, 0.6070) x1
O (0.8349, 0.8312, 0.6072) x1
O (0.9610, 0.5180, 0.3450) x1
O (0.9836, 0.0074, 0.3118) x1